Entry 1:
This entry pairs a crystal structure of Sm6MgTl5 with its simulated powder diffraction line list. Radiation: Cu Kα (λ = 1.5418 Å). Structure: a cell relaxed with GGA-PBE.
Peak positions follow from Bragg's law for the DFT cell and can differ from measured ones.

Principal peaks in the range 10 to 90 degrees two-theta, sorted by position:
2θ 12.70, I 23
2θ 32.83, I 1000
2θ 47.05, I 122
2θ 47.21, I 61
2θ 58.57, I 253
2θ 58.67, I 128
2θ 68.85, I 98
2θ 78.28, I 107
2θ 78.53, I 55
2θ 87.65, I 22

Atomic structure:
```
data_Sm6MgTl5
_chemical_formula_sum 'Sm12 Mg2 Tl10'
_cell_length_a 5.458
_cell_length_b 7.701
_cell_length_c 16.401
_cell_angle_alpha 90.00
_cell_angle_beta 90.00
_cell_angle_gamma 90.00
_symmetry_space_group_name_H-M 'I m m m'
_symmetry_Int_Tables_number 71
_symmetry_space_group_name_Hall '-I 2 2'
loop_
_atom_site_label
_atom_site_fract_x
_atom_site_fract_y
_atom_site_fract_z
_atom_site_occupancy
Sm1 0.000 0.245 0.000 1
Sm2 0.000 0.252 0.331 1
Mg1 0.000 0.000 0.500 1
Tl1 0.000 0.000 0.167 1
Tl2 0.000 0.500 0.158 1
Tl3 0.000 0.500 0.500 1
```

=====

Entry 2:
This entry pairs a crystal structure of SmTmMg17 with its simulated powder diffraction line list. Radiation: Cu Kα (λ = 1.5418 Å). Structure: a cell relaxed with GGA-PBE.
Peak positions follow from Bragg's law for the DFT cell and can differ from measured ones.

Principal peaks in the range 10 to 90 degrees two-theta, sorted by position:
2θ 11.57, I 164
2θ 15.35, I 190
2θ 17.36, I 318
2θ 24.73, I 551
2θ 30.30, I 340
2θ 31.02, I 178
2θ 35.17, I 1000
2θ 35.77, I 214
2θ 50.57, I 178
2θ 63.40, I 193

Atomic structure:
```
data_SmTmMg17
_chemical_formula_sum 'Sm3 Tm3 Mg51'
_cell_length_a 10.2176
_cell_length_b 10.2176
_cell_length_c 15.2275
_cell_angle_alpha 90.00
_cell_angle_beta 90.00
_cell_angle_gamma 120.00
_symmetry_space_group_name_H-M 'R 3 m'
_symmetry_Int_Tables_number 160
_symmetry_space_group_name_Hall 'R 3 -2"'
loop_
_atom_site_label
_atom_site_fract_x
_atom_site_fract_y
_atom_site_fract_z
_atom_site_occupancy
Sm1 0.0000 0.0000 0.0000 1
Tm1 0.0000 0.0000 0.3425 1
Mg1 0.0000 0.0000 0.5697 1
Mg2 0.0000 0.0000 0.7685 1
Mg3 0.0061 0.5030 0.8214 1
Mg4 0.0303 0.3617 0.3373 1
Mg5 0.1686 0.3372 0.5052 1
Mg6 0.1727 0.3454 0.8525 1
```

=====

Entry 3:
This entry pairs a crystal structure of Sm3Tm8Mg with its simulated powder diffraction line list. Radiation: Cu Kα (λ = 1.5418 Å). Structure: a cell relaxed with GGA-PBE.
Peak positions follow from Bragg's law for the DFT cell and can differ from measured ones.

Principal peaks in the range 10 to 90 degrees two-theta, sorted by position:
2θ 24.48, I 959
2θ 26.20, I 1000
2θ 29.37, I 787
2θ 32.21, I 828
2θ 33.58, I 689
2θ 36.78, I 882
2θ 44.14, I 525
2θ 45.21, I 700
2θ 50.19, I 350
2θ 70.60, I 441

Atomic structure:
```
data_Sm3Tm8Mg
_chemical_formula_sum 'Sm6 Tm16 Mg2'
_cell_length_a 8.603
_cell_length_b 8.603
_cell_length_c 11.116
_cell_angle_alpha 90.00
_cell_angle_beta 90.00
_cell_angle_gamma 90.00
_symmetry_space_group_name_H-M 'I -4 2 m'
_symmetry_Int_Tables_number 121
_symmetry_space_group_name_Hall 'I -4 2'
loop_
_atom_site_label
_atom_site_fract_x
_atom_site_fract_y
_atom_site_fract_z
_atom_site_occupancy
Sm1 0.000 0.000 0.000 1
Sm2 0.000 0.500 0.250 1
Tm1 0.126 0.126 0.253 1
Tm2 0.243 0.243 0.505 1
Mg1 0.000 0.000 0.500 1
```

=====

Entry 4:
This entry pairs a crystal structure of Sm6Tm4Mg with its simulated powder diffraction line list. Radiation: Cu Kα (λ = 1.5418 Å). Structure: a cell relaxed with GGA-PBE.
Peak positions follow from Bragg's law for the DFT cell and can differ from measured ones.

Principal peaks in the range 10 to 90 degrees two-theta, sorted by position:
2θ 30.54, I 536
2θ 30.71, I 407
2θ 31.44, I 578
2θ 31.94, I 1000
2θ 33.49, I 531
2θ 33.65, I 167
2θ 44.52, I 295
2θ 56.27, I 380
2θ 57.27, I 211
2θ 57.80, I 165

Atomic structure:
```
data_Sm6Tm4Mg
_chemical_formula_sum 'Sm24 Tm16 Mg4'
_cell_length_a 5.691
_cell_length_b 9.657
_cell_length_c 25.547
_cell_angle_alpha 90.00
_cell_angle_beta 90.00
_cell_angle_gamma 90.00
_symmetry_space_group_name_H-M 'C m c m'
_symmetry_Int_Tables_number 63
_symmetry_space_group_name_Hall '-C 2c 2'
loop_
_atom_site_label
_atom_site_fract_x
_atom_site_fract_y
_atom_site_fract_z
_atom_site_occupancy
Sm1 0.000 0.000 0.000 1
Sm2 0.000 0.022 0.250 1
Sm3 0.000 0.316 0.606 1
Sm4 0.000 0.353 0.181 1
Tm1 0.000 0.021 0.122 1
Tm2 0.000 0.341 0.045 1
Mg1 0.000 0.314 0.750 1
```

=====

Entry 5:
This entry pairs a crystal structure of SmTm3Mg3 with its simulated powder diffraction line list. Radiation: Cu Kα (λ = 1.5418 Å). Structure: a cell relaxed with GGA-PBE.
Peak positions follow from Bragg's law for the DFT cell and can differ from measured ones.

Principal peaks in the range 10 to 90 degrees two-theta, sorted by position:
2θ 11.26, I 278
2θ 19.74, I 178
2θ 25.48, I 226
2θ 30.08, I 298
2θ 32.65, I 251
2θ 34.33, I 1000
2θ 44.99, I 199
2θ 53.42, I 197
2θ 59.35, I 207
2θ 64.03, I 216

Atomic structure:
```
data_SmTm3Mg3
_chemical_formula_sum 'Sm2 Tm6 Mg6'
_cell_length_a 9.070
_cell_length_b 5.485
_cell_length_c 9.077
_cell_angle_alpha 90.00
_cell_angle_beta 119.96
_cell_angle_gamma 90.00
_symmetry_space_group_name_H-M 'P 1 21/m 1'
_symmetry_Int_Tables_number 11
loop_
_symmetry_equiv_pos_as_xyz
'x,y,z'
'-x,-y,-z'
'-x,y+1/2,-z'
'x,-y+1/2,z'
loop_
_atom_site_label
_atom_site_fract_x
_atom_site_fract_y
_atom_site_fract_z
_atom_site_occupancy
Sm1 0.167 0.250 0.333 1
Tm1 0.261 0.750 0.802 1
Tm2 0.302 0.250 0.040 1
Tm3 0.460 0.250 0.762 1
Mg1 0.024 0.250 0.616 1
Mg2 0.116 0.750 0.092 1
Mg3 0.408 0.750 0.524 1
```

=====

Entry 6:
This entry pairs a crystal structure of Sm5TmMg with its simulated powder diffraction line list. Radiation: Cu Kα (λ = 1.5418 Å). Structure: a cell relaxed with GGA-PBE.
Peak positions follow from Bragg's law for the DFT cell and can differ from measured ones.

Principal peaks in the range 10 to 90 degrees two-theta, sorted by position:
2θ 14.94, I 303
2θ 15.15, I 583
2θ 19.45, I 425
2θ 20.44, I 537
2θ 29.44, I 1000
2θ 30.00, I 942
2θ 30.15, I 477
2θ 30.56, I 810
2θ 32.57, I 271
2θ 35.46, I 341

Atomic structure:
```
data_Sm5TmMg
_chemical_formula_sum 'Sm10 Tm2 Mg2'
_cell_length_a 11.707
_cell_length_b 8.688
_cell_length_c 5.932
_cell_angle_alpha 90.00
_cell_angle_beta 92.02
_cell_angle_gamma 90.00
_symmetry_space_group_name_H-M 'C 1 2/m 1'
_symmetry_Int_Tables_number 12
loop_
_symmetry_equiv_pos_as_xyz
'x,y,z'
'-x,-y,-z'
'-x,y,-z'
'x,-y,z'
'x+1/2,y+1/2,z'
'-x+1/2,-y+1/2,-z'
'-x+1/2,y+1/2,-z'
'x+1/2,-y+1/2,z'
loop_
_atom_site_label
_atom_site_fract_x
_atom_site_fract_y
_atom_site_fract_z
_atom_site_occupancy
Sm1 0.000 0.000 0.000 1
Sm2 0.000 0.325 0.500 1
Sm3 0.249 0.000 0.393 1
Tm1 0.000 0.500 0.000 1
Mg1 0.000 0.000 0.500 1
```

=====

Entry 7:
This entry pairs a crystal structure of Sm4Tm2Mg with its simulated powder diffraction line list. Radiation: Cu Kα (λ = 1.5418 Å). Structure: a cell relaxed with GGA-PBE.
Peak positions follow from Bragg's law for the DFT cell and can differ from measured ones.

Principal peaks in the range 10 to 90 degrees two-theta, sorted by position:
2θ 11.87, I 155
2θ 30.43, I 1000
2θ 31.07, I 512
2θ 31.34, I 490
2θ 32.81, I 423
2θ 37.13, I 581
2θ 50.19, I 225
2θ 50.56, I 202
2θ 57.10, I 136
2θ 62.29, I 142

Atomic structure:
```
data_Sm4Tm2Mg
_chemical_formula_sum 'Sm8 Tm4 Mg2'
_cell_length_a 16.754
_cell_length_b 3.485
_cell_length_c 8.630
_cell_angle_alpha 90.00
_cell_angle_beta 117.10
_cell_angle_gamma 90.00
_symmetry_space_group_name_H-M 'C 1 2/m 1'
_symmetry_Int_Tables_number 12
loop_
_symmetry_equiv_pos_as_xyz
'x,y,z'
'-x,-y,-z'
'-x,y,-z'
'x,-y,z'
'x+1/2,y+1/2,z'
'-x+1/2,-y+1/2,-z'
'-x+1/2,y+1/2,-z'
'x+1/2,-y+1/2,z'
loop_
_atom_site_label
_atom_site_fract_x
_atom_site_fract_y
_atom_site_fract_z
_atom_site_occupancy
Sm1 0.082 0.000 0.204 1
Sm2 0.135 0.500 0.899 1
Tm1 0.219 0.000 0.640 1
Mg1 0.000 0.000 0.500 1
```

=====

Entry 8:
This entry pairs a crystal structure of SmTmMg3 with its simulated powder diffraction line list. Radiation: Cu Kα (λ = 1.5418 Å). Structure: a cell relaxed with GGA-PBE.
Peak positions follow from Bragg's law for the DFT cell and can differ from measured ones.

Principal peaks in the range 10 to 90 degrees two-theta, sorted by position:
2θ 10.85, I 924
2θ 24.54, I 307
2θ 28.60, I 991
2θ 30.46, I 636
2θ 30.67, I 1000
2θ 33.67, I 448
2θ 36.32, I 241
2θ 38.03, I 272
2θ 51.83, I 274
2θ 53.70, I 247

Atomic structure:
```
data_SmTmMg3
_chemical_formula_sum 'Sm6 Tm6 Mg18'
_cell_length_a 6.2428
_cell_length_b 6.2428
_cell_length_c 24.4631
_cell_angle_alpha 90.00
_cell_angle_beta 90.00
_cell_angle_gamma 120.00
_symmetry_space_group_name_H-M 'R -3 m'
_symmetry_Int_Tables_number 166
_symmetry_space_group_name_Hall '-R 3 2"'
loop_
_atom_site_label
_atom_site_fract_x
_atom_site_fract_y
_atom_site_fract_z
_atom_site_occupancy
Sm1 0.0000 0.0000 0.0678 1
Tm1 0.0000 0.0000 0.3345 1
Mg1 0.0077 0.5038 0.8823 1
```

=====

Entry 9:
This entry pairs a crystal structure of Sm7TmMg4 with its simulated powder diffraction line list. Radiation: Cu Kα (λ = 1.5418 Å). Structure: a cell relaxed with GGA-PBE.
Peak positions follow from Bragg's law for the DFT cell and can differ from measured ones.

Principal peaks in the range 10 to 90 degrees two-theta, sorted by position:
2θ 16.70, I 270
2θ 23.53, I 314
2θ 29.49, I 370
2θ 29.93, I 398
2θ 30.82, I 1000
2θ 31.80, I 452
2θ 33.86, I 488
2θ 39.11, I 169
2θ 43.15, I 270
2θ 44.16, I 292

Atomic structure:
```
data_Sm7TmMg4
_chemical_formula_sum 'Sm14 Tm2 Mg8'
_cell_length_a 15.291
_cell_length_b 5.809
_cell_length_c 9.743
_cell_angle_alpha 90.00
_cell_angle_beta 121.25
_cell_angle_gamma 90.00
_symmetry_space_group_name_H-M 'C 1 2/m 1'
_symmetry_Int_Tables_number 12
loop_
_symmetry_equiv_pos_as_xyz
'x,y,z'
'-x,-y,-z'
'-x,y,-z'
'x,-y,z'
'x+1/2,y+1/2,z'
'-x+1/2,-y+1/2,-z'
'-x+1/2,y+1/2,-z'
'x+1/2,-y+1/2,z'
loop_
_atom_site_label
_atom_site_fract_x
_atom_site_fract_y
_atom_site_fract_z
_atom_site_occupancy
Sm1 0.000 0.000 0.000 1
Sm2 0.082 0.500 0.425 1
Sm3 0.197 0.500 0.878 1
Sm4 0.249 0.000 0.713 1
Tm1 0.000 0.500 0.000 1
Mg1 0.040 0.000 0.695 1
Mg2 0.175 0.000 0.345 1
```

=====

Entry 10:
This entry pairs a crystal structure of Sm3Tm2Mg3 with its simulated powder diffraction line list. Radiation: Cu Kα (λ = 1.5418 Å). Structure: a cell relaxed with GGA-PBE.
Peak positions follow from Bragg's law for the DFT cell and can differ from measured ones.

Principal peaks in the range 10 to 90 degrees two-theta, sorted by position:
2θ 20.05, I 119
2θ 24.02, I 167
2θ 25.62, I 244
2θ 31.87, I 236
2θ 32.61, I 271
2θ 33.01, I 1000
2θ 46.25, I 168
2θ 57.51, I 136
2θ 58.45, I 195
2θ 69.24, I 100

Atomic structure:
```
data_Sm3Tm2Mg3
_chemical_formula_sum 'Sm6 Tm4 Mg6'
_cell_length_a 3.756
_cell_length_b 5.491
_cell_length_c 22.463
_cell_angle_alpha 90.00
_cell_angle_beta 90.00
_cell_angle_gamma 90.00
_symmetry_space_group_name_H-M 'I m m m'
_symmetry_Int_Tables_number 71
_symmetry_space_group_name_Hall '-I 2 2'
loop_
_atom_site_label
_atom_site_fract_x
_atom_site_fract_y
_atom_site_fract_z
_atom_site_occupancy
Sm1 0.000 0.000 0.000 1
Sm2 0.000 0.500 0.126 1
Tm1 0.000 0.000 0.236 1
Mg1 0.000 0.000 0.500 1
Mg2 0.000 0.500 0.381 1
```

=====

Entry 11:
This entry pairs a crystal structure of Sm2TmMg9 with its simulated powder diffraction line list. Radiation: Cu Kα (λ = 1.5418 Å). Structure: a cell relaxed with GGA-PBE.
Peak positions follow from Bragg's law for the DFT cell and can differ from measured ones.

Principal peaks in the range 10 to 90 degrees two-theta, sorted by position:
2θ 17.18, I 847
2θ 18.21, I 258
2θ 27.30, I 890
2θ 29.50, I 850
2θ 29.80, I 543
2θ 34.33, I 451
2θ 34.89, I 1000
2θ 51.00, I 327
2θ 52.52, I 216
2θ 55.87, I 256

Atomic structure:
```
data_Sm2TmMg9
_chemical_formula_sum 'Sm6 Tm3 Mg27'
_cell_length_a 6.0564
_cell_length_b 6.0564
_cell_length_c 29.2309
_cell_angle_alpha 90.00
_cell_angle_beta 90.00
_cell_angle_gamma 120.00
_symmetry_space_group_name_H-M 'R -3 m'
_symmetry_Int_Tables_number 166
_symmetry_space_group_name_Hall '-R 3 2"'
loop_
_atom_site_label
_atom_site_fract_x
_atom_site_fract_y
_atom_site_fract_z
_atom_site_occupancy
Sm1 0.0000 0.0000 0.1416 1
Tm1 0.0000 0.0000 0.0000 1
Mg1 0.0000 0.0000 0.3340 1
Mg2 0.0000 0.0000 0.5000 1
Mg3 0.0042 0.5021 0.9167 1
```

=====

Entry 12:
This entry pairs a crystal structure of SmTmMg3 with its simulated powder diffraction line list. Radiation: Cu Kα (λ = 1.5418 Å). Structure: a cell relaxed with GGA-PBE.
Peak positions follow from Bragg's law for the DFT cell and can differ from measured ones.

Principal peaks in the range 10 to 90 degrees two-theta, sorted by position:
2θ 14.59, I 450
2θ 18.00, I 681
2θ 27.76, I 405
2θ 31.36, I 300
2θ 32.28, I 342
2θ 33.28, I 643
2θ 33.52, I 1000
2θ 33.98, I 339
2θ 42.98, I 288
2θ 44.65, I 284

Atomic structure:
```
data_SmTmMg3
_chemical_formula_sum 'Sm8 Tm8 Mg24'
_cell_length_a 19.717
_cell_length_b 15.831
_cell_length_c 3.517
_cell_angle_alpha 90.00
_cell_angle_beta 90.09
_cell_angle_gamma 90.00
_symmetry_space_group_name_H-M 'C 1 2/c 1'
_symmetry_Int_Tables_number 15
loop_
_symmetry_equiv_pos_as_xyz
'x,y,z'
'-x,-y,-z'
'-x,y,-z+1/2'
'x,-y,z+1/2'
'x+1/2,y+1/2,z'
'-x+1/2,-y+1/2,-z'
'-x+1/2,y+1/2,-z+1/2'
'x+1/2,-y+1/2,z+1/2'
loop_
_atom_site_label
_atom_site_fract_x
_atom_site_fract_y
_atom_site_fract_z
_atom_site_occupancy
Sm1 0.220 0.099 0.245 1
Tm1 0.000 0.228 0.250 1
Tm2 0.000 0.411 0.750 1
Mg1 0.077 0.079 0.746 1
Mg2 0.137 0.424 0.251 1
Mg3 0.145 0.263 0.748 1
```